This entry pairs a crystal structure of NdTlZn with its calculated XRD peak list. Radiation: Cu Kα. Structure: DFT lattice parameters and positions (PBE).

Structural model:
Lattice parameters (Å, degrees): 4.8237 4.8237 4.8237 60.00 60.00 60.00
Atoms (fractional coordinates):
Nd: 0.0000 0.0000 0.0000
Tl: 0.5000 0.5000 0.5000
Zn: 0.7500 0.7500 0.7500

Most intense lines, 2θ from 10° to 80°, low angle first:
| 2theta | Rel. int. |
| --- | --- |
| 22.58 | 11 |
| 26.13 | 54 |
| 37.28 | 100 |
| 44.02 | 6 |
| 46.09 | 16 |
| 53.75 | 17 |
| 59.02 | 2 |
| 60.71 | 21 |
| 67.23 | 35 |
| 79.48 | 11 |